# 1
The following is a theoretical powder X-ray diffraction pattern of Na5Tl2Pd. It was derived from a cell relaxed with GGA-PBE, using Cu Kα (λ = 1.5418 Å).

Largest 10 diffraction maxima, low angle first, 2θ from 15° to 90°:
d [Å]  Rel. int.
5.620  100.0
4.633  28.9
4.285  39.7
2.914  30.6
2.810  20.4
2.635  88.0
2.416  23.6
2.220  19.3
2.196  41.8
1.730  14.5

Crystal structure
```
data_Na5Tl2Pd
_cell_length_a 4.8328
_cell_length_b 11.2394
_cell_length_c 16.3720
_cell_angle_alpha 90.00
_cell_angle_beta 90.00
_cell_angle_gamma 90.00
_symmetry_space_group_name_H-M 'C m c m'
_symmetry_Int_Tables_number 63
_symmetry_space_group_name_Hall '-C 2c 2'
loop_
_atom_site_label
_atom_site_type_symbol
_atom_site_fract_x
_atom_site_fract_y
_atom_site_fract_z
Na1 Na 0.0000 0.0223 0.2500
Na2 Na 0.0000 0.1567 0.0446
Na3 Na 0.0000 0.4505 0.1111
Tl1 Tl 0.0000 0.2477 0.6551
Pd1 Pd 0.0000 0.2818 0.2500
```

# 2
The following is a theoretical powder X-ray diffraction pattern of Na3Tl6Pd5. It was derived from a cell relaxed with GGA-PBE, using Cu Kα (λ = 1.5418 Å).

Largest 10 diffraction maxima, low angle first, 2θ from 15° to 90°:
d [Å]  Rel. int.
4.987  100.0
4.302  56.9
3.127  61.6
2.748  80.6
2.514  63.9
2.423  38.8
2.384  53.7
2.340  80.0
2.277  84.7
2.148  50.1

Crystal structure
```
data_Na3Tl6Pd5
_cell_length_a 4.5541
_cell_length_b 14.3043
_cell_length_c 9.9743
_cell_angle_alpha 90.00
_cell_angle_beta 90.00
_cell_angle_gamma 90.00
_symmetry_space_group_name_H-M 'P m m n'
_symmetry_Int_Tables_number 59
loop_
_symmetry_equiv_pos_as_xyz
'x,y,z'
'-x,-y,-z'
'-x+1/2,-y+1/2,z'
'x+1/2,y+1/2,-z'
'x+1/2,-y,-z'
'-x+1/2,y,z'
'-x,y+1/2,-z'
'x,-y+1/2,z'
loop_
_atom_site_label
_atom_site_type_symbol
_atom_site_fract_x
_atom_site_fract_y
_atom_site_fract_z
Na1 Na 0.2500 0.0449 0.2489
Na2 Na 0.2500 0.7500 0.2200
Tl1 Tl 0.2500 0.0668 0.9150
Tl2 Tl 0.2500 0.2500 0.1181
Tl3 Tl 0.2500 0.2500 0.4792
Tl4 Tl 0.2500 0.5897 0.5279
Pd1 Pd 0.2500 0.0913 0.6426
Pd2 Pd 0.2500 0.6385 0.9427
Pd3 Pd 0.2500 0.7500 0.7038
```

# 3
The following is a theoretical powder X-ray diffraction pattern of Na2Tl2Pd. It was derived from a cell relaxed with GGA-PBE, using Cu Kα (λ = 1.5418 Å).

Largest 10 diffraction maxima, low angle first, 2θ from 15° to 90°:
d [Å]  Rel. int.
5.337  100.0
3.924  25.9
3.797  29.7
2.979  38.2
2.668  73.4
2.666  32.8
2.532  61.7
2.262  72.7
1.924  19.0
1.851  22.6

Crystal structure
```
data_Na2Tl2Pd
_cell_length_a 11.9254
_cell_length_b 5.9876
_cell_length_c 7.6945
_cell_angle_alpha 90.00
_cell_angle_beta 99.22
_cell_angle_gamma 90.00
_symmetry_space_group_name_H-M 'P 1 21/c 1'
_symmetry_Int_Tables_number 14
_symmetry_space_group_name_Hall '-P 2ybc'
loop_
_atom_site_label
_atom_site_type_symbol
_atom_site_fract_x
_atom_site_fract_y
_atom_site_fract_z
Na1 Na 0.0271 0.2493 0.1313
Na2 Na 0.2915 0.2501 0.4477
Tl1 Tl 0.1948 0.7480 0.1742
Tl2 Tl 0.4980 0.0031 0.2495
Pd1 Pd 0.3705 0.7500 0.4679
```

# 4
The following is a theoretical powder X-ray diffraction pattern of Na12Tl2Pd. It was derived from a cell relaxed with GGA-PBE, using Cu Kα (λ = 1.5418 Å).

Largest 10 diffraction maxima, low angle first, 2θ from 15° to 90°:
d [Å]  Rel. int.
5.846  58.8
4.681  90.6
4.013  48.3
3.654  100.0
3.310  51.4
3.185  70.2
2.881  60.3
2.719  64.5
2.341  43.5
1.971  38.4

Crystal structure
```
data_Na12Tl2Pd
_cell_length_a 6.6205
_cell_length_b 6.6205
_cell_length_c 23.3855
_cell_angle_alpha 90.00
_cell_angle_beta 90.00
_cell_angle_gamma 90.00
_symmetry_space_group_name_H-M 'P 4/n b m'
_symmetry_Int_Tables_number 125
loop_
_symmetry_equiv_pos_as_xyz
'x,y,z'
'-x,-y,-z'
'-y+1/2,x,z'
'y+1/2,-x,-z'
'-x+1/2,-y+1/2,z'
'x+1/2,y+1/2,-z'
'y,-x+1/2,z'
'-y,x+1/2,-z'
'x,-y+1/2,-z'
'-x,y+1/2,z'
'-y+1/2,-x+1/2,-z'
'y+1/2,x+1/2,z'
'-x+1/2,y,-z'
'x+1/2,-y,z'
'y,x,-z'
'-y,-x,z'
loop_
_atom_site_label
_atom_site_type_symbol
_atom_site_fract_x
_atom_site_fract_y
_atom_site_fract_z
Na1 Na 0.0000 0.0000 0.0726
Na2 Na 0.0724 0.5724 0.4315
Na3 Na 0.2500 0.2500 0.1954
Na4 Na 0.2500 0.2500 0.3258
Tl1 Tl 0.2500 0.7500 0.2741
Pd1 Pd 0.2500 0.7500 0.0000
```